# YSi2Ru2
Theoretical PXRD pattern, Cu Kα, 1.54184 Å. Input: the PBE geometry in the Materials Project.

Top 12 peaks for 2θ = 15–90°, low angle first:
| 2theta | I_rel |
| --- | --- |
| 18.54 | 23 |
| 23.18 | 9 |
| 35.37 | 22 |
| 35.66 | 100 |
| 37.59 | 15 |
| 43.21 | 42 |
| 48.94 | 14 |
| 57.02 | 11 |
| 58.58 | 16 |
| 62.76 | 14 |
| 66.59 | 18 |
| 74.32 | 22 |

Atomic structure:
a = 5.6278 Å, b = 5.6278 Å, c = 5.6278 Å
α = 136.32°, β = 136.32°, γ = 63.49°
Element x y z (fractional)
1 Y 0.0000 0.0000 0.0000
2 Si 0.3680 0.3680 0.0000
3 Si 0.6320 0.6320 0.0000
4 Ru 0.2500 0.7500 0.5000
5 Ru 0.7500 0.2500 0.5000


# Tm2Zn17
Theoretical PXRD pattern, Cu Kα, 1.54184 Å. Input: the PBE geometry in the Materials Project.

Top 12 peaks for 2θ = 15–90°, low angle first:
| 2theta | I_rel |
| --- | --- |
| 28.54 | 27 |
| 34.48 | 42 |
| 38.71 | 30 |
| 40.03 | 56 |
| 40.42 | 100 |
| 41.56 | 31 |
| 45.35 | 26 |
| 59.07 | 17 |
| 65.80 | 18 |
| 72.72 | 20 |
| 75.06 | 21 |
| 87.40 | 15 |

Atomic structure:
a = 9.0095 Å, b = 9.0095 Å, c = 8.6913 Å
α = 90.00°, β = 90.00°, γ = 120.00°
Element x y z (fractional)
1 Tm 0.0000 0.0000 0.2500
2 Tm 0.0000 0.0000 0.7500
3 Tm 0.3333 0.6667 0.2500
4 Tm 0.6667 0.3333 0.7500
5 Zn 0.0000 0.5000 0.0000
6 Zn 0.0000 0.5000 0.5000
7 Zn 0.0310 0.3604 0.7500
8 Zn 0.0310 0.6706 0.7500
9 Zn 0.1615 0.3230 0.0168
10 Zn 0.1615 0.3230 0.4832
11 Zn 0.1615 0.8385 0.0168
12 Zn 0.1615 0.8385 0.4832
13 Zn 0.3230 0.1615 0.5168
14 Zn 0.3230 0.1615 0.9832
15 Zn 0.3294 0.3604 0.7500
16 Zn 0.3294 0.9690 0.7500
17 Zn 0.3333 0.6667 0.5970
18 Zn 0.3333 0.6667 0.9030
19 Zn 0.3604 0.0310 0.2500
20 Zn 0.3604 0.3294 0.2500
21 Zn 0.5000 0.0000 0.0000
22 Zn 0.5000 0.0000 0.5000
23 Zn 0.5000 0.5000 0.0000
24 Zn 0.5000 0.5000 0.5000
25 Zn 0.6396 0.6706 0.7500
26 Zn 0.6396 0.9690 0.7500
27 Zn 0.6667 0.3333 0.0970
28 Zn 0.6667 0.3333 0.4030
29 Zn 0.6706 0.0310 0.2500
30 Zn 0.6706 0.6396 0.2500
31 Zn 0.6770 0.8385 0.0168
32 Zn 0.6770 0.8385 0.4832
33 Zn 0.8385 0.1615 0.5168
34 Zn 0.8385 0.1615 0.9832
35 Zn 0.8385 0.6770 0.5168
36 Zn 0.8385 0.6770 0.9832
37 Zn 0.9690 0.3294 0.2500
38 Zn 0.9690 0.6396 0.2500


# CoAu3
Theoretical PXRD pattern, Cu Kα, 1.54184 Å. Input: the PBE geometry in the Materials Project.

Top 12 peaks for 2θ = 15–90°, low angle first:
| 2theta | I_rel |
| --- | --- |
| 22.09 | 13 |
| 31.44 | 11 |
| 38.75 | 100 |
| 45.05 | 49 |
| 50.72 | 6 |
| 55.97 | 5 |
| 65.61 | 32 |
| 70.15 | 3 |
| 74.57 | 2 |
| 78.89 | 39 |
| 83.15 | 11 |
| 87.37 | 2 |

Atomic structure:
a = 4.0245 Å, b = 4.0245 Å, c = 4.0245 Å
α = 90.00°, β = 90.00°, γ = 90.00°
Element x y z (fractional)
1 Co 0.0000 0.0000 0.0000
2 Au 0.0000 0.5000 0.5000
3 Au 0.5000 0.0000 0.5000
4 Au 0.5000 0.5000 0.0000


# FeH4C6N6
Theoretical PXRD pattern, Cu Kα, 1.54184 Å. Input: the PBE geometry in the Materials Project.

Top 12 peaks for 2θ = 15–90°, low angle first:
| 2theta | I_rel |
| --- | --- |
| 15.30 | 100 |
| 15.79 | 53 |
| 19.03 | 68 |
| 21.83 | 66 |
| 23.67 | 39 |
| 26.94 | 23 |
| 27.43 | 24 |
| 28.11 | 26 |
| 28.22 | 41 |
| 32.82 | 20 |
| 36.93 | 16 |
| 38.61 | 18 |

Atomic structure:
a = 6.1078 Å, b = 11.2218 Å, c = 6.9793 Å
α = 90.00°, β = 104.35°, γ = 90.00°
Element x y z (fractional)
1 Fe 0.0000 0.0000 0.0000
2 Fe 0.0000 0.5000 0.5000
3 H 0.2809 0.1003 0.5555
4 H 0.2809 0.3997 0.0555
5 H 0.4317 0.7155 0.1075
6 H 0.4317 0.7845 0.6075
7 H 0.5683 0.2155 0.3925
8 H 0.5683 0.2845 0.8925
9 H 0.7191 0.6003 0.9445
10 H 0.7191 0.8997 0.4445
11 C 0.1348 0.0501 0.8025
12 C 0.1348 0.4499 0.3025
13 C 0.1828 0.6353 0.5406
14 C 0.1828 0.8647 0.0406
15 C 0.2234 0.0790 0.1953
16 C 0.2234 0.4210 0.6953
17 C 0.7766 0.5790 0.3047
18 C 0.7766 0.9210 0.8047
19 C 0.8172 0.1353 0.9594
20 C 0.8172 0.3647 0.4594
21 C 0.8652 0.5501 0.6975
22 C 0.8652 0.9499 0.1975
23 N 0.2184 0.0810 0.6773
24 N 0.2184 0.4190 0.1773
25 N 0.3011 0.7188 0.5693
26 N 0.3011 0.7812 0.0693
27 N 0.3598 0.1243 0.3244
28 N 0.3598 0.3757 0.8244
29 N 0.6402 0.6243 0.1756
30 N 0.6402 0.8757 0.6756
31 N 0.6989 0.2188 0.9307
32 N 0.6989 0.2812 0.4307
33 N 0.7816 0.5810 0.8227
34 N 0.7816 0.9190 0.3227


# KPd2F5
Theoretical PXRD pattern, Cu Kα, 1.54184 Å. Input: the PBE geometry in the Materials Project.

Top 12 peaks for 2θ = 15–90°, low angle first:
| 2theta | I_rel |
| --- | --- |
| 16.22 | 37 |
| 27.28 | 20 |
| 28.39 | 31 |
| 28.68 | 100 |
| 30.64 | 15 |
| 31.75 | 37 |
| 32.77 | 32 |
| 43.38 | 14 |
| 43.66 | 12 |
| 47.98 | 12 |
| 50.40 | 30 |
| 50.50 | 13 |

Atomic structure:
a = 6.3220 Å, b = 7.5846 Å, c = 10.8704 Å
α = 90.00°, β = 90.00°, γ = 90.00°
Element x y z (fractional)
1 K 0.0149 0.2500 0.1319
2 K 0.4851 0.7500 0.6319
3 K 0.5149 0.2500 0.3681
4 K 0.9851 0.7500 0.8681
5 Pd 0.0000 0.0000 0.5000
6 Pd 0.0000 0.5000 0.5000
7 Pd 0.1904 0.2500 0.7856
8 Pd 0.3096 0.7500 0.2856
9 Pd 0.5000 0.0000 0.0000
10 Pd 0.5000 0.5000 0.0000
11 Pd 0.6904 0.2500 0.7144
12 Pd 0.8096 0.7500 0.2144
13 F 0.0467 0.2500 0.4036
14 F 0.1884 0.0673 0.9190
15 F 0.1884 0.4327 0.9190
16 F 0.1995 0.0556 0.6607
17 F 0.1995 0.4444 0.6607
18 F 0.3005 0.5556 0.1607
19 F 0.3005 0.9444 0.1607
20 F 0.3116 0.5673 0.4190
21 F 0.3116 0.9327 0.4190
22 F 0.4533 0.7500 0.9036
23 F 0.5467 0.2500 0.0964
24 F 0.6884 0.0673 0.5810
25 F 0.6884 0.4327 0.5810
26 F 0.6995 0.0556 0.8393
27 F 0.6995 0.4444 0.8393
28 F 0.8005 0.5556 0.3393
29 F 0.8005 0.9444 0.3393
30 F 0.8116 0.5673 0.0810
31 F 0.8116 0.9327 0.0810
32 F 0.9533 0.7500 0.5964